Record 1
Starting from DFT lattice parameters and positions (GGA-PBE), the XRD peak list of CsTlPdBr4 was computed for Cu Kα, 1.54184 Å.
Peak positions follow from Bragg's law for the DFT cell and can differ from measured ones.

Top 12 peaks for 15 to 90 degrees two-theta, in order of rising 2θ:
d (Å), two_theta, I (rel.), (hkl)
5.421, 16.4, 32, 0 1 1
3.921, 22.7, 14, 1 1 0
3.511, 25.4, 100, 1 1 1
2.996, 29.8, 47, 1 0 2
2.900, 30.8, 46, 1 2 0
2.710, 33.1, 70, 0 2 2
2.304, 39.1, 24, 2 0 0
2.183, 41.4, 25, 1 1 3
2.109, 42.9, 22, 1 3 1
1.756, 52.1, 38, 2 2 2
1.682, 54.6, 14, 1 3 3
1.584, 58.3, 13, 1 4 2

Cell and atoms:
abc: 4.608 7.463 7.886
angles: 90.00 90.00 90.00
Space group Pmmm (No. 47)
Unique sites:
Cs 0.000 0.000 0.000
Tl 0.000 0.500 0.500
Pd 0.500 0.000 0.500
Br 0.500 0.238 0.281

Record 2
Starting from DFT lattice parameters and positions (GGA-PBE), the XRD peak list of Tb4SiPd3 was computed for Cu Kα, 1.54184 Å.
Peak positions follow from Bragg's law for the DFT cell and can differ from measured ones.

Top 12 peaks for 15 to 90 degrees two-theta, in order of rising 2θ:
d (Å), two_theta, I (rel.), (hkl)
3.072, 29.1, 67, 1 1 1
2.789, 32.1, 100, 0 1 2
2.686, 33.4, 89, 2 0 -1
2.509, 35.8, 99, 1 1 -2
2.299, 39.2, 43, 1 0 3
2.255, 40.0, 88, 2 1 1
2.076, 43.6, 47, 0 2 0
1.789, 51.1, 30, 1 0 -4
1.643, 56.0, 46, 2 2 -1
1.541, 60.0, 24, 1 2 3
1.355, 69.4, 23, 1 2 -4
1.230, 77.6, 22, 3 2 -3

Cell and atoms:
abc: 5.749 4.152 7.528
angles: 90.00 90.18 90.00
Space group Pm (No. 6)
Unique sites:
Tb 0.000 0.000 0.000
Tb 0.236 0.000 0.498
Tb 0.499 0.500 0.133
Tb 0.735 0.500 0.645
Si 0.229 0.500 0.776
Pd 0.014 0.500 0.274
Pd 0.500 0.000 0.857
Pd 0.712 0.000 0.361

What is the formula in the second record?
Tb4SiPd3